Diffraction record for ErPbS. The XRD peak list is computed, not measured: it uses a structure optimized by DFT (GGA-PBE) and λ = 1.5418 Å (Cu Kα).
Neutral-atom scattering factors, no anomalous dispersion.

Most intense lines, 2θ from 10° to 90°, sorted by position:
28.0 deg, intensity 45, (1 0 3)
28.4 deg, intensity 100, (1 1 2)
34.4 deg, intensity 55, (2 0 0)
41.2 deg, intensity 30, (1 0 5)
44.9 deg, intensity 26, (2 1 3)
49.4 deg, intensity 20, (2 2 0)
54.7 deg, intensity 27, (2 1 5)
58.0 deg, intensity 28, (3 1 2)

Structural model:
```
data_ErPbS
_chemical_formula_sum 'Er4 Pb4 S4'
_symmetry_space_group_name_H-M 'I 41 m d'
_symmetry_Int_Tables_number 109
_symmetry_space_group_name_Hall 'I 4bw -2'
_cell_length_a 5.216
_cell_length_b 5.216
_cell_length_c 12.078
_cell_angle_alpha 90.00
_cell_angle_beta 90.00
_cell_angle_gamma 90.00
loop_
_atom_site_label
_atom_site_type_symbol
_atom_site_fract_x
_atom_site_fract_y
_atom_site_fract_z
Er1 Er 0.000 0.000 0.000
Pb1 Pb 0.000 0.000 0.586
S1 S 0.000 0.000 0.220
```

Diffraction record for Mg2Cd2Pb. The XRD peak list is computed, not measured: it uses a structure optimized by DFT (GGA-PBE) and λ = 1.5418 Å (Cu Kα).
Neutral-atom scattering factors, no anomalous dispersion.

Most intense lines, 2θ from 10° to 90°, sorted by position:
20.4 deg, intensity 98, (1 1 0)
26.2 deg, intensity 93, (0 2 1)
28.7 deg, intensity 48, (0 0 2)
34.9 deg, intensity 47, (2 0 0)
35.5 deg, intensity 99, (1 1 2)
40.3 deg, intensity 100, (1 3 1)
44.1 deg, intensity 46, (2 2 1)
58.8 deg, intensity 31, (1 3 3)

Structural model:
```
data_Mg2Cd2Pb
_chemical_formula_sum 'Mg4 Cd4 Pb2'
_symmetry_space_group_name_H-M 'C m m m'
_symmetry_Int_Tables_number 65
_symmetry_space_group_name_Hall '-C 2 2'
_cell_length_a 5.148
_cell_length_b 8.138
_cell_length_c 6.226
_cell_angle_alpha 90.00
_cell_angle_beta 90.00
_cell_angle_gamma 90.00
loop_
_atom_site_label
_atom_site_type_symbol
_atom_site_fract_x
_atom_site_fract_y
_atom_site_fract_z
Mg1 Mg 0.000 0.000 0.245
Cd1 Cd 0.000 0.326 0.000
Pb1 Pb 0.000 0.500 0.500
```

Diffraction record for NiSnH. The XRD peak list is computed, not measured: it uses a structure optimized by DFT (GGA-PBE) and λ = 1.5418 Å (Cu Kα).
Neutral-atom scattering factors, no anomalous dispersion.

Most intense lines, 2θ from 10° to 90°, sorted by position:
15.8 deg, intensity 100, (1 1 0)
25.2 deg, intensity 32, (1 2 0)
33.8 deg, intensity 85, (1 1 1)
35.9 deg, intensity 65, (3 1 0)
44.2 deg, intensity 71, (2 2 1)
45.9 deg, intensity 21, (4 0 0)
47.2 deg, intensity 19, (1 3 1)
67.9 deg, intensity 19, (1 5 1)

Structural model:
```
data_NiSnH
_chemical_formula_sum 'Ni4 Sn4 H4'
_symmetry_space_group_name_H-M 'P 42/m'
_symmetry_Int_Tables_number 84
_symmetry_space_group_name_Hall '-P 4c'
_cell_length_a 7.911
_cell_length_b 7.911
_cell_length_c 3.017
_cell_angle_alpha 90.00
_cell_angle_beta 90.00
_cell_angle_gamma 90.00
loop_
_atom_site_label
_atom_site_type_symbol
_atom_site_fract_x
_atom_site_fract_y
_atom_site_fract_z
Ni1 Ni 0.104 0.629 0.000
Sn1 Sn 0.188 0.368 0.500
H1 H 0.088 0.723 0.500
```

Diffraction record for AlP. The XRD peak list is computed, not measured: it uses a structure optimized by DFT (GGA-PBE) and λ = 1.5418 Å (Cu Kα).
Neutral-atom scattering factors, no anomalous dispersion.

Most intense lines, 2θ from 10° to 90°, sorted by position:
28.5 deg, intensity 37, (1 1 1)
29.4 deg, intensity 92, (0 2 2)
36.0 deg, intensity 100, (1 1 3)
48.1 deg, intensity 36, (1 1 5)
51.3 deg, intensity 19, (0 4 0)
51.6 deg, intensity 34, (1 3 3)
53.8 deg, intensity 21, (0 2 6)
56.7 deg, intensity 28, (2 2 0)

Structural model:
```
data_AlP
_chemical_formula_sum 'Al8 P8'
_symmetry_space_group_name_H-M 'F d d 2'
_symmetry_Int_Tables_number 43
_symmetry_space_group_name_Hall 'F 2 -2d'
_cell_length_a 3.651
_cell_length_b 7.121
_cell_length_c 11.647
_cell_angle_alpha 90.00
_cell_angle_beta 90.00
_cell_angle_gamma 90.00
loop_
_atom_site_label
_atom_site_type_symbol
_atom_site_fract_x
_atom_site_fract_y
_atom_site_fract_z
Al1 Al 0.000 0.000 0.000
P1 P 0.000 0.000 0.632
```

Diffraction record for CeY6Sc2. The XRD peak list is computed, not measured: it uses a structure optimized by DFT (GGA-PBE) and λ = 1.5418 Å (Cu Kα).
Neutral-atom scattering factors, no anomalous dispersion.

Most intense lines, 2θ from 10° to 90°, sorted by position:
30.3 deg, intensity 37, (2 1 1)
31.9 deg, intensity 100, (0 3 1)
32.1 deg, intensity 50, (1 -1 3)
33.6 deg, intensity 17, (2 2 1)
33.9 deg, intensity 88, (1 2 4)
35.0 deg, intensity 18, (2 -1 0)
49.8 deg, intensity 15, (0 0 6)
53.9 deg, intensity 14, (3 1 -2)

Structural model:
```
data_CeY6Sc2
_chemical_formula_sum 'Ce2 Y12 Sc4'
_symmetry_space_group_name_H-M 'P -1'
_symmetry_Int_Tables_number 2
_symmetry_space_group_name_Hall '-P 1'
_cell_length_a 5.936
_cell_length_b 8.631
_cell_length_c 11.630
_cell_angle_alpha 73.28
_cell_angle_beta 77.34
_cell_angle_gamma 77.19
loop_
_atom_site_label
_atom_site_type_symbol
_atom_site_fract_x
_atom_site_fract_y
_atom_site_fract_z
Ce1 Ce 0.232 0.471 0.080
Y1 Y 0.021 0.864 0.916
Y2 Y 0.147 0.364 0.405
Y3 Y 0.157 0.981 0.602
Y4 Y 0.313 0.579 0.756
Y5 Y 0.385 0.712 0.413
Y6 Y 0.464 0.808 0.090
Sc1 Sc 0.076 0.256 0.757
Sc2 Sc 0.423 0.094 0.237
```

Diffraction record for Na2Sc2NbO6. The XRD peak list is computed, not measured: it uses a structure optimized by DFT (GGA-PBE) and λ = 1.5418 Å (Cu Kα).
Neutral-atom scattering factors, no anomalous dispersion.

Most intense lines, 2θ from 10° to 90°, sorted by position:
15.9 deg, intensity 100, (0 0 1)
19.4 deg, intensity 24, (1 1 0)
33.1 deg, intensity 15, (1 3 0)
34.4 deg, intensity 17, (1 3 -1)
39.1 deg, intensity 33, (2 0 -2)
39.3 deg, intensity 64, (1 3 1)
55.2 deg, intensity 26, (1 3 -3)
58.0 deg, intensity 19, (3 3 -1)

Structural model:
```
data_Na2Sc2NbO6
_chemical_formula_sum 'Na4 Sc4 Nb2 O12'
_symmetry_space_group_name_H-M 'C 1 2/m 1'
_symmetry_Int_Tables_number 12
_symmetry_space_group_name_Hall '-C 2y'
_cell_length_a 5.519
_cell_length_b 9.471
_cell_length_c 5.874
_cell_angle_alpha 90.00
_cell_angle_beta 108.39
_cell_angle_gamma 90.00
loop_
_atom_site_label
_atom_site_type_symbol
_atom_site_fract_x
_atom_site_fract_y
_atom_site_fract_z
Na1 Na 0.000 0.166 0.000
Sc1 Sc 0.000 0.337 0.500
Nb1 Nb 0.000 0.000 0.500
O1 O 0.221 0.167 0.692
O2 O 0.240 0.500 0.697
```